1.
Diffraction record for Ba2LiP3Pd12. The powder diffraction line list is theoretical, not measured: it uses a PBE-relaxed structure and Cu Kα (weighted mean of Kα1 and Kα2).
No peak broadening, texture or thermal motion is included.

Most intense lines, 2θ from 10° to 90°, low angle first:
| 2θ (°) | I/Imax | (hkl) |
| --- | --- | --- |
| 24.2 | 51.1 | 0 2 1 |
| 25.9 | 20.8 | 2 0 2 |
| 31.8 | 100.0 | 0 2 4 |
| 35.7 | 67.4 | 2 0 5 |
| 38.1 | 14.0 | 1 1 6 |
| 39.3 | 13.7 | 0 3 3 |
| 41.4 | 81.8 | 2 2 0 |
| 44.6 | 30.9 | 0 2 7 |
| 48.6 | 36.0 | 0 0 9 |
| 53.2 | 24.8 | 4 0 4 |
| 65.7 | 38.9 | 2 0 11 |
| 69.6 | 14.6 | 2 4 4 |

Structural model:
```
data_Ba2LiP3Pd12
_cell_length_a 8.7143
_cell_length_b 8.7143
_cell_length_c 16.8541
_cell_angle_alpha 90.00
_cell_angle_beta 90.00
_cell_angle_gamma 120.00
_space_group_name_H-M_alt 'R -3 m'
_space_group_IT_number 166
_space_group_name_Hall '-R 3 2"'
loop_
_atom_site_label
_atom_site_fract_x
_atom_site_fract_y
_atom_site_fract_z
Ba1 0.0000 0.0000 0.1145
Li1 0.0000 0.0000 0.5000
P1 0.0000 0.5000 0.0000
Pd1 0.0120 0.5060 0.1318
Pd2 0.0621 0.5311 0.3146
```

***

2.
Diffraction record for La3SnBr3. The powder diffraction line list is theoretical, not measured: it uses a PBE-relaxed structure and Cu Kα (weighted mean of Kα1 and Kα2).
No peak broadening, texture or thermal motion is included.

Most intense lines, 2θ from 10° to 90°, low angle first:
| 2θ (°) | I/Imax | (hkl) |
| --- | --- | --- |
| 22.3 | 7.9 | 1 3 1 |
| 28.3 | 100.0 | 0 4 2 |
| 36.3 | 7.3 | 1 5 2 |
| 40.3 | 38.1 | 4 4 0 |
| 40.5 | 37.7 | 4 0 4 |
| 50.0 | 20.3 | 8 0 2 |
| 50.2 | 6.7 | 0 0 6 |
| 58.5 | 12.6 | 0 8 4 |
| 66.1 | 17.4 | 4 8 2 |
| 66.3 | 17.3 | 4 4 6 |
| 73.4 | 19.2 | 12 0 0 |
| 73.7 | 6.4 | 0 4 8 |

Structural model:
```
data_La3SnBr3
_cell_length_a 17.8856
_cell_length_b 17.8856
_cell_length_c 10.8986
_cell_angle_alpha 90.00
_cell_angle_beta 90.00
_cell_angle_gamma 120.00
_space_group_name_H-M_alt 'R 3 2'
_space_group_IT_number 155
_space_group_name_Hall 'R 3 2"'
loop_
_atom_site_label
_atom_site_fract_x
_atom_site_fract_y
_atom_site_fract_z
La1 0.0000 0.2542 0.0000
La2 0.0000 0.4961 0.0000
La3 0.0806 0.1654 0.6620
Sn1 0.0000 0.0000 0.5000
Sn2 0.0000 0.2497 0.5000
Br1 0.0000 0.5008 0.5000
Br2 0.0000 0.7497 0.5000
Br3 0.0828 0.9162 0.1651
```

***

3.
Diffraction record for Li2YMg2Cd2. The powder diffraction line list is theoretical, not measured: it uses a PBE-relaxed structure and Cu Kα (weighted mean of Kα1 and Kα2).
No peak broadening, texture or thermal motion is included.

Most intense lines, 2θ from 10° to 90°, low angle first:
| 2θ (°) | I/Imax | (hkl) |
| --- | --- | --- |
| 12.3 | 100.0 | 0 0 1 |
| 22.3 | 17.7 | 1 1 -1 |
| 26.4 | 74.7 | 1 1 1 |
| 26.5 | 37.9 | 2 0 -2 |
| 35.6 | 63.4 | 1 1 2 |
| 35.9 | 30.6 | 2 0 -3 |
| 36.1 | 73.2 | 3 1 -1 |
| 36.2 | 36.3 | 0 2 0 |
| 38.3 | 24.2 | 0 2 1 |
| 51.9 | 20.6 | 2 2 -3 |
| 59.3 | 18.0 | 5 1 -3 |
| 64.9 | 22.3 | 3 3 -1 |

Structural model:
```
data_Li2YMg2Cd2
_cell_length_a 8.6389
_cell_length_b 4.9678
_cell_length_c 7.7485
_cell_angle_alpha 90.00
_cell_angle_beta 111.18
_cell_angle_gamma 90.00
_space_group_name_H-M_alt 'C 1 2/m 1'
_space_group_IT_number 12
loop_
_space_group_symop_operation_xyz
'x,y,z'
'-x,-y,-z'
'-x,y,-z'
'x,-y,z'
'x+1/2,y+1/2,z'
'-x+1/2,-y+1/2,-z'
'-x+1/2,y+1/2,-z'
'x+1/2,-y+1/2,z'
loop_
_atom_site_label
_atom_site_fract_x
_atom_site_fract_y
_atom_site_fract_z
Li1 0.1481 0.0000 0.4468
Y1 0.0000 0.0000 0.0000
Mg1 0.0770 0.5000 0.7272
Cd1 0.2252 0.5000 0.1793
```

***

4.
Diffraction record for Ta2MoIr9. The powder diffraction line list is theoretical, not measured: it uses a PBE-relaxed structure and Cu Kα (weighted mean of Kα1 and Kα2).
No peak broadening, texture or thermal motion is included.

Most intense lines, 2θ from 10° to 90°, low angle first:
| 2θ (°) | I/Imax | (hkl) |
| --- | --- | --- |
| 34.0 | 17.2 | 0 2 2 |
| 37.3 | 44.9 | 2 1 1 |
| 37.5 | 34.5 | 0 2 -1 |
| 40.1 | 46.5 | 1 0 -2 |
| 40.4 | 39.1 | -1 2 1 |
| 40.8 | 100.0 | 1 -1 2 |
| 41.1 | 28.7 | 1 2 3 |
| 41.4 | 31.6 | 1 3 2 |
| 41.6 | 47.8 | 1 2 -1 |
| 42.2 | 66.0 | 0 1 3 |
| 46.7 | 17.0 | 2 -1 0 |
| 69.0 | 20.4 | 0 1 -4 |

Structural model:
```
data_Ta2MoIr9
_cell_length_a 4.8266
_cell_length_b 6.8049
_cell_length_c 6.8614
_cell_angle_alpha 65.38
_cell_angle_beta 69.55
_cell_angle_gamma 70.95
_space_group_name_H-M_alt 'P 1'
_space_group_IT_number 1
loop_
_space_group_symop_operation_xyz
'x,y,z'
loop_
_atom_site_label
_atom_site_fract_x
_atom_site_fract_y
_atom_site_fract_z
Ta1 0.0000 0.0000 0.0000
Ta2 0.2592 0.0445 0.4784
Mo1 0.1392 0.5051 0.2771
Ir1 0.3714 0.2736 0.0142
Ir2 0.4128 0.5190 0.5609
Ir3 0.4609 0.7192 0.8129
Ir4 0.4913 0.8266 0.1644
Ir5 0.6651 0.0777 0.7074
Ir6 0.7361 0.2942 0.2617
Ir7 0.9059 0.8455 0.4311
Ir8 0.9105 0.3852 0.7079
Ir9 0.9525 0.6402 0.9090
```